No. 1
Theoretical PXRD pattern
Compound: BiIrO6
Radiation: λ = 1.5418 Å (Cu Kα)
Structure: DFT lattice parameters and positions (GGA-PBE)
Neutral-atom scattering factors, no anomalous dispersion.

Top 8 peaks for 5 to 70 degrees two-theta, sorted by position:
Position (°2θ), I_rel, (hkl)
14.6, 73, 1 1 0
19.6, 100, 1 1 1
29.4, 54, 2 2 0
31.4, 25, 2 0 -2
32.4, 26, 2 0 2
37.6, 26, 1 3 -1
41.5, 18, 1 1 -3
46.9, 20, 3 3 1

Structure:
Unit cell a=9.5256 b=7.9053 c=6.9489 alpha=90.00 beta=91.72 gamma=90.00
Space group C2/c (No. 15)
Asymmetric unit:
Bi (0.0000, 0.0783, 0.2500) x4
Ir (0.2500, 0.2500, 0.0000) x4
O (0.0656, 0.1366, 0.9410) x8
O (0.1609, 0.4454, 0.0071) x8
O (0.1976, 0.2043, 0.2673) x8

No. 2
Theoretical PXRD pattern
Compound: BiIr2O8
Radiation: λ = 1.5418 Å (Cu Kα)
Structure: DFT lattice parameters and positions (GGA-PBE)
Neutral-atom scattering factors, no anomalous dispersion.

Top 8 peaks for 5 to 70 degrees two-theta, sorted by position:
Position (°2θ), I_rel, (hkl)
21.6, 100, 0 1 1
29.2, 43, 1 1 0
32.1, 27, 1 0 2
36.6, 17, 2 0 1
43.9, 17, 0 2 2
47.4, 25, 1 2 1
51.4, 18, 1 1 3
53.6, 13, 2 1 2

Structure:
Unit cell a=6.1215 b=6.1215 c=6.5544 alpha=90.00 beta=90.00 gamma=120.00
Space group P-3m1 (No. 164)
Asymmetric unit:
Bi (0.0000, 0.0000, 0.0000) x1
Ir (0.3333, 0.6667, 0.3152) x2
O (0.1739, 0.3479, 0.2108) x6
O (0.3333, 0.6667, 0.5828) x2

No. 3
Theoretical PXRD pattern
Compound: Bi3IrO7
Radiation: λ = 1.5418 Å (Cu Kα)
Structure: DFT lattice parameters and positions (GGA-PBE)
Neutral-atom scattering factors, no anomalous dispersion.

Top 8 peaks for 5 to 70 degrees two-theta, sorted by position:
Position (°2θ), I_rel, (hkl)
28.3, 100, 2 2 0
28.8, 95, 0 2 2
33.1, 52, 2 0 2
33.2, 24, 0 4 0
47.6, 55, 2 4 2
48.1, 15, 0 0 4
55.9, 29, 4 2 2
56.7, 43, 2 2 4

Structure:
Unit cell a=7.7668 b=10.7852 c=7.5675 alpha=90.00 beta=90.00 gamma=90.00
Space group C222_1 (No. 20)
Asymmetric unit:
Bi (0.0050, 0.0000, 0.0000) x4
Bi (0.2347, 0.2647, 0.7508) x8
Ir (0.9999, 0.5000, 0.0000) x4
O (0.0000, 0.1365, 0.2500) x4
O (0.0000, 0.1376, 0.7500) x4
O (0.0000, 0.4403, 0.7500) x4
O (0.1918, 0.3777, 0.0286) x8
O (0.1939, 0.3786, 0.4719) x8

No. 4
Theoretical PXRD pattern
Compound: Bi2IrPtO8
Radiation: λ = 1.5418 Å (Cu Kα)
Structure: DFT lattice parameters and positions (GGA-PBE)
Neutral-atom scattering factors, no anomalous dispersion.

Top 8 peaks for 5 to 70 degrees two-theta, sorted by position:
Position (°2θ), I_rel, (hkl)
25.1, 100, 1 0 -1
25.6, 89, 1 0 1
32.2, 83, 0 2 1
32.4, 94, 1 2 0
35.8, 33, 0 0 2
48.8, 33, 1 2 -2
49.3, 68, 2 2 -1
49.9, 32, 2 2 1

Structure:
Unit cell a=4.9071 b=6.6752 c=5.0173 alpha=90.00 beta=91.12 gamma=90.00
Space group P2/m (No. 10)
Asymmetric unit:
Bi (0.0000, 0.2493, 0.0000) x2
Ir (0.5000, 0.5000, 0.5000) x1
Pt (0.5000, 0.0000, 0.5000) x1
O (0.2395, 0.0000, 0.1829) x2
O (0.2716, 0.5000, 0.1886) x2
O (0.3003, 0.2541, 0.6376) x4